Record 1
Mg2Sn: computed PXRD pattern (Cu Kα, 1.54184 Å), based on a structure optimized by DFT (GGA-PBE).
No peak broadening, texture or thermal motion is included.

```
data_Mg2Sn
_space_group_name_H-M_alt 'C 1 2/m 1'
_space_group_IT_number 12
_cell_length_a 11.6202
_cell_length_b 3.3147
_cell_length_c 7.7915
_cell_angle_alpha 90.00
_cell_angle_beta 108.18
_cell_angle_gamma 90.00
loop_
_space_group_symop_operation_xyz
'x,y,z'
'-x,-y,-z'
'-x,y,-z'
'x,-y,z'
'x+1/2,y+1/2,z'
'-x+1/2,-y+1/2,-z'
'-x+1/2,y+1/2,-z'
'x+1/2,-y+1/2,z'
loop_
_atom_site_label
_atom_site_type_symbol
_atom_site_fract_x
_atom_site_fract_y
_atom_site_fract_z
Mg1 Mg 0.1421 0.0000 0.0251
Mg2 Mg 0.1861 0.0000 0.6339
Sn1 Sn 0.0362 0.5000 0.2991
```

Top 10 peaks for 15 to 90 degrees two-theta, in order of rising 2θ:
(hkl)	two_theta	I/Imax
2 0 0	16.1	87
0 0 2	24.0	28
2 0 -2	24.4	43
1 1 0	28.1	55
1 1 1	31.6	36
4 0 -2	33.9	57
1 1 -2	35.6	87
3 1 0	36.5	100
4 0 1	38.2	35
3 1 3	58.2	33

---

Record 2
ZnCu2SnS4: computed PXRD pattern (Cu Kα, 1.54184 Å), based on a structure optimized by DFT (GGA-PBE).
No peak broadening, texture or thermal motion is included.

```
data_ZnCu2SnS4
_space_group_name_H-M_alt 'P m n 21'
_space_group_IT_number 31
_cell_length_a 7.7276
_cell_length_b 6.6883
_cell_length_c 6.3747
_cell_angle_alpha 90.00
_cell_angle_beta 90.00
_cell_angle_gamma 90.00
loop_
_space_group_symop_operation_xyz
'x,y,z'
'-x+1/2,-y,z+1/2'
'-x,y,z'
'x+1/2,-y,z+1/2'
loop_
_atom_site_label
_atom_site_type_symbol
_atom_site_fract_x
_atom_site_fract_y
_atom_site_fract_z
Zn1 Zn 0.0000 0.1596 0.0000
Cu1 Cu 0.2476 0.3301 0.4970
Sn1 Sn 0.0000 0.8303 0.4999
S1 S 0.0000 0.1789 0.6276
S2 S 0.0000 0.8225 0.1110
S3 S 0.2406 0.3450 0.1334
```

Top 10 peaks for 15 to 90 degrees two-theta, in order of rising 2θ:
(hkl)	two_theta	I/Imax
0 2 0	26.6	76
0 0 2	28.0	51
2 1 1	30.2	100
0 2 2	39.0	31
4 0 0	47.1	60
2 1 3	50.9	63
4 0 2	55.6	42
0 4 1	56.9	17
0 4 3	71.8	21
2 1 5	80.6	15

---

Record 3
TbNi: computed PXRD pattern (Cu Kα, 1.54184 Å), based on a structure optimized by DFT (GGA-PBE).
No peak broadening, texture or thermal motion is included.

```
data_TbNi
_space_group_name_H-M_alt 'P n m a'
_space_group_IT_number 62
_cell_length_a 21.0088
_cell_length_b 4.2092
_cell_length_c 5.4296
_cell_angle_alpha 90.00
_cell_angle_beta 90.00
_cell_angle_gamma 90.00
loop_
_space_group_symop_operation_xyz
'x,y,z'
'-x,-y,-z'
'-x+1/2,-y,z+1/2'
'x+1/2,y,-z+1/2'
'x+1/2,-y+1/2,-z+1/2'
'-x+1/2,y+1/2,z+1/2'
'-x,y+1/2,-z'
'x,-y+1/2,z'
loop_
_atom_site_label
_atom_site_type_symbol
_atom_site_fract_x
_atom_site_fract_y
_atom_site_fract_z
Tb1 Tb 0.0605 0.2500 0.1391
Tb2 Tb 0.1072 0.7500 0.6309
Tb3 Tb 0.2288 0.2500 0.8809
Ni1 Ni 0.0121 0.2500 0.6387
Ni2 Ni 0.1539 0.7500 0.1223
Ni3 Ni 0.1789 0.2500 0.3896
```

Top 10 peaks for 15 to 90 degrees two-theta, in order of rising 2θ:
(hkl)	two_theta	I/Imax
1 1 1	27.1	29
2 1 1	28.1	38
4 1 1	31.8	52
6 1 0	33.3	100
5 1 1	34.4	47
3 0 2	35.5	95
7 1 1	40.5	29
3 1 2	41.6	80
0 2 0	43.0	56
3 2 2	56.9	63

---

Record 4
NdCuO2: computed PXRD pattern (Cu Kα, 1.54184 Å), based on a structure optimized by DFT (GGA-PBE).
No peak broadening, texture or thermal motion is included.

```
data_NdCuO2
_space_group_name_H-M_alt 'R -3 m'
_space_group_IT_number 166
_space_group_name_Hall '-R 3 2"'
_cell_length_a 3.7580
_cell_length_b 3.7580
_cell_length_c 17.1751
_cell_angle_alpha 90.00
_cell_angle_beta 90.00
_cell_angle_gamma 120.00
loop_
_atom_site_label
_atom_site_type_symbol
_atom_site_fract_x
_atom_site_fract_y
_atom_site_fract_z
Nd1 Nd 0.0000 0.0000 0.0000
Cu1 Cu 0.0000 0.0000 0.5000
O1 O 0.0000 0.0000 0.3939
```

Top 10 peaks for 15 to 90 degrees two-theta, in order of rising 2θ:
(hkl)	two_theta	I/Imax
0 0 3	15.5	25
0 1 2	29.3	100
0 0 6	31.2	21
1 0 4	34.6	44
0 1 5	38.1	12
1 1 0	48.4	30
0 1 8	51.0	23
2 0 2	57.7	14
1 1 6	58.8	21
1 0 10	61.0	14

---

Record 5
Ta4Ni2C: computed PXRD pattern (Cu Kα, 1.54184 Å), based on a structure optimized by DFT (GGA-PBE).
No peak broadening, texture or thermal motion is included.

Cell lengths 11.6850, 11.6850, 11.6850 Å; angles 90.00, 90.00, 90.00 degrees
Space group Fd-3m (No. 227, origin choice 2)
Inequivalent atoms, fractional coordinates:
Ta  0.0000  0.0000  0.0000
Ta  0.0586  0.3750  0.8750
Ni  0.0441  0.0441  0.2059
C  0.0000  0.0000  0.5000

Top 10 peaks for 15 to 90 degrees two-theta, in order of rising 2θ:
(hkl)	two_theta	I/Imax
2 2 2	26.4	7
3 3 1	33.4	47
4 2 2	37.7	49
5 1 1	40.1	100
4 4 0	43.8	28
6 2 2	51.9	10
7 3 3	65.4	14
6 6 0	68.1	43
5 5 5	69.7	15
9 3 3	82.1	20

---

Record 6
K4C2O9: computed PXRD pattern (Cu Kα, 1.54184 Å), based on a structure optimized by DFT (GGA-PBE).
No peak broadening, texture or thermal motion is included.

```
data_K4C2O9
_space_group_name_H-M_alt 'C 1 2/c 1'
_space_group_IT_number 15
_cell_length_a 11.9739
_cell_length_b 12.6983
_cell_length_c 7.2499
_cell_angle_alpha 90.00
_cell_angle_beta 120.28
_cell_angle_gamma 90.00
loop_
_space_group_symop_operation_xyz
'x,y,z'
'-x,-y,-z'
'-x,y,-z+1/2'
'x,-y,z+1/2'
'x+1/2,y+1/2,z'
'-x+1/2,-y+1/2,-z'
'-x+1/2,y+1/2,-z+1/2'
'x+1/2,-y+1/2,z+1/2'
loop_
_atom_site_label
_atom_site_type_symbol
_atom_site_fract_x
_atom_site_fract_y
_atom_site_fract_z
K1 K 0.0000 0.1102 0.2500
K2 K 0.0000 0.1767 0.7500
K3 K 0.1463 0.3853 0.5621
C1 C 0.1926 0.3343 0.1523
O1 O 0.0000 0.4662 0.7500
O2 O 0.0987 0.2812 0.1432
O3 O 0.1455 0.0335 0.0759
O4 O 0.1841 0.3682 0.9751
O5 O 0.2028 0.1490 0.6659
```

Top 10 peaks for 15 to 90 degrees two-theta, in order of rising 2θ:
(hkl)	two_theta	I/Imax
3 1 0	26.8	34
0 4 0	28.1	53
3 3 -1	30.8	59
0 4 1	31.6	69
4 0 -2	31.9	100
1 3 -2	33.0	78
3 3 0	33.5	85
2 0 2	40.5	57
4 4 -2	43.0	29
3 7 -1	55.7	27

---

Record 7
Cr2NiN2: computed PXRD pattern (Cu Kα, 1.54184 Å), based on a structure optimized by DFT (GGA-PBE).
No peak broadening, texture or thermal motion is included.

```
data_Cr2NiN2
_space_group_name_H-M_alt 'P n m a'
_space_group_IT_number 62
_cell_length_a 5.4538
_cell_length_b 2.7035
_cell_length_c 12.7769
_cell_angle_alpha 90.00
_cell_angle_beta 90.00
_cell_angle_gamma 90.00
loop_
_space_group_symop_operation_xyz
'x,y,z'
'-x,-y,-z'
'-x+1/2,-y,z+1/2'
'x+1/2,y,-z+1/2'
'x+1/2,-y+1/2,-z+1/2'
'-x+1/2,y+1/2,z+1/2'
'-x,y+1/2,-z'
'x,-y+1/2,z'
loop_
_atom_site_label
_atom_site_type_symbol
_atom_site_fract_x
_atom_site_fract_y
_atom_site_fract_z
Cr1 Cr 0.1105 0.2500 0.0763
Cr2 Cr 0.1600 0.2500 0.4308
Ni1 Ni 0.1139 0.2500 0.7319
N1 N 0.1224 0.2500 0.5831
N2 N 0.1271 0.2500 0.8738
```

Top 10 peaks for 15 to 90 degrees two-theta, in order of rising 2θ:
(hkl)	two_theta	I/Imax
2 0 3	39.2	93
0 1 3	39.5	100
0 0 6	42.4	50
2 1 0	47.3	99
2 1 6	65.5	44
4 0 0	68.9	13
0 2 0	69.5	14
4 1 3	82.4	14
2 2 3	82.9	18
0 2 6	85.0	11

---

What did the seventh record say?
Cr2NiN2: computed PXRD pattern (Cu Kα, 1.54184 Å), based on a structure optimized by DFT (GGA-PBE).
No peak broadening, texture or thermal motion is included.

```
data_Cr2NiN2
_space_group_name_H-M_alt 'P n m a'
_space_group_IT_number 62
_cell_length_a 5.4538
_cell_length_b 2.7035
_cell_length_c 12.7769
_cell_angle_alpha 90.00
_cell_angle_beta 90.00
_cell_angle_gamma 90.00
loop_
_space_group_symop_operation_xyz
'x,y,z'
'-x,-y,-z'
'-x+1/2,-y,z+1/2'
'x+1/2,y,-z+1/2'
'x+1/2,-y+1/2,-z+1/2'
'-x+1/2,y+1/2,z+1/2'
'-x,y+1/2,-z'
'x,-y+1/2,z'
loop_
_atom_site_label
_atom_site_type_symbol
_atom_site_fract_x
_atom_site_fract_y
_atom_site_fract_z
Cr1 Cr 0.1105 0.2500 0.0763
Cr2 Cr 0.1600 0.2500 0.4308
Ni1 Ni 0.1139 0.2500 0.7319
N1 N 0.1224 0.2500 0.5831
N2 N 0.1271 0.2500 0.8738
```

Top 10 peaks for 15 to 90 degrees two-theta, in order of rising 2θ:
(hkl)	two_theta	I/Imax
2 0 3	39.2	93
0 1 3	39.5	100
0 0 6	42.4	50
2 1 0	47.3	99
2 1 6	65.5	44
4 0 0	68.9	13
0 2 0	69.5	14
4 1 3	82.4	14
2 2 3	82.9	18
0 2 6	85.0	11

---

Question: Which formula does entry 7 have?
Answer: Cr2NiN2